Record 1
This entry pairs a crystal structure of Ac8Nd4Sm with its simulated powder diffractogram. Radiation: Cu Ka. Structure: DFT lattice parameters and positions (PBE).

Structural model:
abc: 6.6888 6.6888 15.9041
angles: 93.79 93.79 48.70
Element x y z (fractional)
Ac1 0.0419 0.0419 0.3857
Ac2 0.1913 0.1913 0.9253
Ac3 0.2663 0.2663 0.6900
Ac4 0.4241 0.4241 0.2280
Ac5 0.5759 0.5759 0.7720
Ac6 0.7337 0.7337 0.3100
Ac7 0.8087 0.8087 0.0747
Ac8 0.9581 0.9581 0.6143
Nd1 0.1146 0.1146 0.1522
Nd2 0.3486 0.3486 0.4628
Nd3 0.6514 0.6514 0.5372
Nd4 0.8854 0.8854 0.8478
Sm1 0.5000 0.5000 0.0000

Main lines, by intensity (2θ from 10° to 80°):
2θ/deg  Rel. int.
28.24  100
46.86  26
32.47  18
32.78  17
32.91  17
55.36  16
55.77  15
47.13  13
55.92  8
55.97  8

***

Record 2
This entry pairs a crystal structure of AcNd4Sm with its simulated powder diffractogram. Radiation: Cu Ka. Structure: DFT lattice parameters and positions (PBE).

Structural model:
abc: 7.1999 7.1999 10.0617
angles: 90.00 90.00 121.61
Element x y z (fractional)
Ac1 0.1858 0.8142 0.7500
Ac2 0.8142 0.1858 0.2500
Nd1 0.1985 0.3525 0.7500
Nd2 0.3299 0.6701 0.0737
Nd3 0.3299 0.6701 0.4263
Nd4 0.3525 0.1985 0.2500
Nd5 0.6475 0.8015 0.7500
Nd6 0.6701 0.3299 0.5737
Nd7 0.6701 0.3299 0.9263
Nd8 0.8015 0.6475 0.2500
Sm1 0.0000 0.0000 0.0000
Sm2 0.0000 0.0000 0.5000

Main lines, by intensity (2θ from 10° to 80°):
2θ/deg  Rel. int.
30.51  100
30.38  43
29.78  37
34.25  18
50.74  17
48.05  14
31.06  13
54.55  12
25.36  11
46.98  10

***

Record 3
This entry pairs a crystal structure of Ac2Nd5Sm2 with its simulated powder diffractogram. Radiation: Cu Ka. Structure: DFT lattice parameters and positions (PBE).

Structural model:
abc: 10.1594 10.1594 10.1594
angles: 81.64 121.68 128.34
Element x y z (fractional)
Ac1 0.0350 0.1254 0.1605
Ac2 0.0350 0.3746 0.4096
Ac3 0.9650 0.6254 0.5904
Ac4 0.9650 0.8746 0.8395
Nd1 0.1436 0.5013 0.9408
Nd2 0.1436 0.7029 0.1423
Nd3 0.1626 0.0799 0.5827
Nd4 0.4907 0.1931 0.3604
Nd5 0.4907 0.6303 0.7976
Nd6 0.4973 0.5799 0.4173
Nd7 0.5606 0.0013 0.8577
Nd8 0.5606 0.2029 0.0592
Nd9 0.8327 0.1303 0.6396
Nd10 0.8327 0.6931 0.2024
Sm1 0.3381 0.3381 0.0000
Sm2 0.3381 0.8381 0.5000
Sm3 0.6384 0.9008 0.2376
Sm4 0.6632 0.4008 0.7624

Main lines, by intensity (2θ from 10° to 80°):
2θ/deg  Rel. int.
26.84  100
31.64  79
31.17  69
29.46  56
35.86  52
27.01  51
30.81  44
57.06  39
58.05  30
28.87  28

***

Record 4
This entry pairs a crystal structure of AcNd12Sm5 with its simulated powder diffractogram. Radiation: Cu Ka. Structure: DFT lattice parameters and positions (PBE).

Structural model:
abc: 11.0528 11.0528 5.2077
angles: 90.00 90.00 90.06
Element x y z (fractional)
Ac1 0.0000 0.0000 0.0000
Nd1 0.0006 0.3363 0.0000
Nd2 0.1685 0.4991 0.5000
Nd3 0.1700 0.8300 0.5000
Nd4 0.3347 0.6653 0.0000
Nd5 0.3363 0.0006 0.0000
Nd6 0.4991 0.1685 0.5000
Nd7 0.5009 0.8315 0.5000
Nd8 0.6637 0.9994 0.0000
Nd9 0.6653 0.3347 0.0000
Nd10 0.8300 0.1700 0.5000
Nd11 0.8315 0.5009 0.5000
Nd12 0.9994 0.6637 0.0000
Sm1 0.1700 0.1700 0.5000
Sm2 0.3335 0.3335 0.0000
Sm3 0.5000 0.5000 0.5000
Sm4 0.6665 0.6665 0.0000
Sm5 0.8300 0.8300 0.5000

Main lines, by intensity (2θ from 10° to 80°):
2θ/deg  Rel. int.
29.70  100
34.43  51
58.79  44
49.49  36
61.68  13
72.59  6

***

Record 5
This entry pairs a crystal structure of AcNd12Sm2 with its simulated powder diffractogram. Radiation: Cu Ka. Structure: DFT lattice parameters and positions (PBE).

Structural model:
abc: 6.9066 6.9066 25.4867
angles: 90.00 90.00 116.66
Element x y z (fractional)
Ac1 0.2500 0.7500 0.9896
Ac2 0.7500 0.2500 0.0104
Nd1 0.0080 0.5080 0.8624
Nd2 0.0171 0.9829 0.0803
Nd3 0.0201 0.5201 0.4183
Nd4 0.0243 0.9757 0.5592
Nd5 0.2500 0.2500 0.2030
Nd6 0.2500 0.2500 0.3283
Nd7 0.2500 0.2500 0.6717
Nd8 0.2500 0.2500 0.7970
Nd9 0.4757 0.5243 0.5592
Nd10 0.4799 0.9799 0.4183
Nd11 0.4829 0.5171 0.0803
Nd12 0.4920 0.9920 0.8624
Nd13 0.5080 0.0080 0.1376
Nd14 0.5171 0.4829 0.9197
Nd15 0.5201 0.0201 0.5817
Nd16 0.5243 0.4757 0.4408
Nd17 0.7500 0.7500 0.2030
Nd18 0.7500 0.7500 0.3283
Nd19 0.7500 0.7500 0.6717
Nd20 0.7500 0.7500 0.7970
Nd21 0.9757 0.0243 0.4408
Nd22 0.9799 0.4799 0.5817
Nd23 0.9829 0.0171 0.9197
Nd24 0.9920 0.4920 0.1376
Sm1 0.2500 0.7500 0.2708
Sm2 0.2500 0.7500 0.7231
Sm3 0.7500 0.2500 0.2769
Sm4 0.7500 0.2500 0.7292

Main lines, by intensity (2θ from 10° to 80°):
2θ/deg  Rel. int.
30.41  100
28.84  90
29.79  76
32.23  67
31.95  56
35.97  50
30.83  48
56.59  33
46.51  31
28.32  30

***

Record 6
This entry pairs a crystal structure of Ac2Nd2Sm5 with its simulated powder diffractogram. Radiation: Cu Ka. Structure: DFT lattice parameters and positions (PBE).

Structural model:
abc: 8.8194 8.8194 12.2590
angles: 121.54 121.54 24.12
Element x y z (fractional)
Ac1 0.0452 0.0452 0.2633
Ac2 0.9548 0.9548 0.7367
Nd1 0.3141 0.3141 0.1600
Nd2 0.6859 0.6859 0.8400
Sm1 0.2210 0.2210 0.6105
Sm2 0.3890 0.3890 0.9428
Sm3 0.5000 0.5000 0.5000
Sm4 0.6110 0.6110 0.0572
Sm5 0.7790 0.7790 0.3895

Main lines, by intensity (2θ from 10° to 80°):
2θ/deg  Rel. int.
29.77  100
30.04  45
32.25  43
31.74  40
28.80  36
46.67  20
38.57  15
58.83  15
58.97  14
59.98  13

***

Record 7
This entry pairs a crystal structure of Ac3Nd8Sm3 with its simulated powder diffractogram. Radiation: Cu Ka. Structure: DFT lattice parameters and positions (PBE).

Structural model:
abc: 10.1309 10.1309 10.1309
angles: 146.28 112.25 77.85
Element x y z (fractional)
Ac1 0.0000 0.0000 0.0000
Ac2 0.3172 0.0000 0.3172
Ac3 0.6828 0.0000 0.6828
Nd1 0.0599 0.3965 0.6633
Nd2 0.0652 0.2249 0.8404
Nd3 0.2668 0.6035 0.6633
Nd4 0.3845 0.2249 0.1596
Nd5 0.6155 0.7751 0.8404
Nd6 0.7332 0.3965 0.3367
Nd7 0.9348 0.7751 0.1596
Nd8 0.9401 0.6035 0.3367
Sm1 0.3072 0.8072 0.5000
Sm2 0.5000 0.5000 0.0000
Sm3 0.6928 0.1928 0.5000

Main lines, by intensity (2θ from 10° to 80°):
2θ/deg  Rel. int.
30.40  100
32.22  33
29.18  20
54.04  15
42.66  14
28.39  12
59.31  12
58.21  9
22.56  8
48.36  8

***

Record 8
This entry pairs a crystal structure of Ac3Nd5Sm with its simulated powder diffractogram. Radiation: Cu Ka. Structure: DFT lattice parameters and positions (PBE).

Structural model:
abc: 8.1607 8.1607 12.6159
angles: 95.25 95.25 62.81
Element x y z (fractional)
Ac1 0.0000 0.0000 0.0000
Ac2 0.0000 0.0000 0.5000
Ac3 0.2748 0.2748 0.5006
Ac4 0.3448 0.3448 0.7845
Ac5 0.6552 0.6552 0.2155
Ac6 0.7252 0.7252 0.4994
Nd1 0.0797 0.6752 0.2321
Nd2 0.2511 0.2511 0.0316
Nd3 0.3248 0.9203 0.7679
Nd4 0.3361 0.6639 0.0000
Nd5 0.4766 0.4766 0.3632
Nd6 0.5234 0.5234 0.6368
Nd7 0.6639 0.3361 0.0000
Nd8 0.6752 0.0797 0.2321
Nd9 0.7489 0.7489 0.9684
Nd10 0.9203 0.3248 0.7679
Sm1 0.1208 0.1208 0.2560
Sm2 0.8792 0.8792 0.7440

Main lines, by intensity (2θ from 10° to 80°):
2θ/deg  Rel. int.
28.07  100
25.99  90
20.89  82
30.81  75
28.46  75
33.61  56
25.19  47
30.42  41
29.18  36
42.52  28

***

Record 9
This entry pairs a crystal structure of AcNd2Sm8 with its simulated powder diffractogram. Radiation: Cu Ka. Structure: DFT lattice parameters and positions (PBE).

Structural model:
abc: 9.6203 9.6203 9.6203
angles: 145.91 127.65 63.96
Element x y z (fractional)
Ac1 0.0000 0.0000 0.0000
Nd1 0.2999 0.2999 0.0000
Nd2 0.7001 0.7001 0.0000
Sm1 0.1529 0.8562 0.2967
Sm2 0.1593 0.6593 0.5000
Sm3 0.2967 0.5000 0.7967
Sm4 0.4405 0.1438 0.2967
Sm5 0.5595 0.8562 0.7033
Sm6 0.7033 0.5000 0.2033
Sm7 0.8407 0.3407 0.5000
Sm8 0.8471 0.1438 0.7033

Main lines, by intensity (2θ from 10° to 80°):
2θ/deg  Rel. int.
31.08  100
31.72  40
28.99  32
56.12  19
32.93  17
32.11  14
61.10  13
46.38  13
61.39  13
50.74  11

***

Record 10
This entry pairs a crystal structure of Ac3Nd4Sm3 with its simulated powder diffractogram. Radiation: Cu Ka. Structure: DFT lattice parameters and positions (PBE).

Structural model:
abc: 3.9091 9.9014 9.9014
angles: 89.41 90.00 90.00
Element x y z (fractional)
Ac1 0.0000 0.0000 0.0000
Ac2 0.5000 0.3312 0.8269
Ac3 0.5000 0.8269 0.3312
Nd1 0.5000 0.2107 0.2107
Nd2 0.5000 0.4556 0.4556
Nd3 0.5000 0.6925 0.9463
Nd4 0.5000 0.9463 0.6925
Sm1 0.0000 0.1593 0.5021
Sm2 0.0000 0.5021 0.1593
Sm3 0.0000 0.6545 0.6545

Main lines, by intensity (2θ from 10° to 80°):
2θ/deg  Rel. int.
30.45  100
30.56  97
29.11  92
28.42  79
28.60  79
55.37  43
52.54  36
46.46  28
55.47  25
25.58  23

***

Record 11
This entry pairs a crystal structure of Ac2Nd7Sm with its simulated powder diffractogram. Radiation: Cu Ka. Structure: DFT lattice parameters and positions (PBE).

Structural model:
abc: 15.4710 15.4710 3.6183
angles: 90.00 90.00 154.31
Element x y z (fractional)
Ac1 0.2055 0.7945 0.0000
Ac2 0.7945 0.2055 0.0000
Nd1 0.0000 0.0000 0.0000
Nd2 0.1601 0.3525 0.0000
Nd3 0.3162 0.6838 0.5000
Nd4 0.3525 0.1601 0.0000
Nd5 0.6475 0.8399 0.0000
Nd6 0.6838 0.3162 0.5000
Nd7 0.8399 0.6475 0.0000
Sm1 0.5000 0.5000 0.5000

Main lines, by intensity (2θ from 10° to 80°):
2θ/deg  Rel. int.
31.63  100
29.62  69
31.52  59
28.52  52
28.02  36
38.88  27
30.44  27
38.02  25
24.60  25
49.42  24

***

Record 12
This entry pairs a crystal structure of AcNd8Sm2 with its simulated powder diffractogram. Radiation: Cu Ka. Structure: DFT lattice parameters and positions (PBE).

Structural model:
abc: 9.6679 9.6679 9.6679
angles: 145.84 127.27 64.34
Element x y z (fractional)
Ac1 0.0000 0.0000 0.0000
Nd1 0.1529 0.8556 0.2972
Nd2 0.1592 0.6592 0.5000
Nd3 0.2968 0.5000 0.7968
Nd4 0.4416 0.1444 0.2972
Nd5 0.5584 0.8556 0.7028
Nd6 0.7032 0.5000 0.2032
Nd7 0.8408 0.3408 0.5000
Nd8 0.8471 0.1444 0.7028
Sm1 0.2996 0.2996 0.0000
Sm2 0.7004 0.7004 0.0000

Main lines, by intensity (2θ from 10° to 80°):
2θ/deg  Rel. int.
30.83  100
31.51  40
28.83  32
60.68  25
55.68  19
32.83  17
31.74  14
46.14  13
50.39  12
45.33  11